# 1
This entry pairs a crystal structure of TaCoHgBi with its calculated powder diffraction line list. Radiation: copper Kα. Structure: a cell relaxed with GGA-PBE.
Peak positions follow from Bragg's law for the DFT cell and can differ from measured ones.

Cell and atoms:
Cell: 4.7570 4.7570 4.7570 Å, 60.00 60.00 60.00°
Sites, in units of the cell vectors:
Ta  0.0000  0.0000  0.0000
Co  0.5000  0.5000  0.5000
Hg  0.7500  0.7500  0.7500
Bi  0.2500  0.2500  0.2500

The 9 most intense peaks (2θ from 5° to 70°), by intensity:
37.82 deg, d 2.378, rel. 100
68.31 deg, d 1.373, rel. 36
54.57 deg, d 1.682, rel. 18
26.50 deg, d 3.364, rel. 8
22.90 deg, d 3.884, rel. 8
44.68 deg, d 2.028, rel. 4
61.66 deg, d 1.504, rel. 4
46.78 deg, d 1.942, rel. 3
59.93 deg, d 1.543, rel. 2

# 2
This entry pairs a crystal structure of Nb2InCo2Bi with its calculated powder diffraction line list. Radiation: copper Kα. Structure: a cell relaxed with GGA-PBE.
Peak positions follow from Bragg's law for the DFT cell and can differ from measured ones.

Cell and atoms:
Cell: 7.3761 7.3761 7.3761 Å, 131.86 131.86 70.44°
Sites, in units of the cell vectors:
Nb  0.2449  0.2449  0.0000
Nb  0.5051  0.0051  0.5000
Nb  0.7551  0.7551  0.0000
Nb  0.9949  0.4949  0.5000
In  0.0000  0.0000  0.0000
In  0.7500  0.2500  0.5000
Co  0.1267  0.1250  0.5017
Co  0.3750  0.8733  0.9983
Co  0.6233  0.6250  0.4983
Co  0.8750  0.3767  0.0017
Bi  0.2500  0.7500  0.5000
Bi  0.5000  0.5000  0.0000

The 10 most intense peaks (2θ from 5° to 70°), by intensity:
42.48 deg, d 2.128, rel. 100
29.68 deg, d 3.010, rel. 49
25.63 deg, d 3.475, rel. 21
52.67 deg, d 1.738, rel. 13
69.87 deg, d 1.346, rel. 12
61.67 deg, d 1.504, rel. 11
50.27 deg, d 1.815, rel. 10
69.93 deg, d 1.345, rel. 6
16.47 deg, d 5.383, rel. 6
61.56 deg, d 1.506, rel. 5

# 3
This entry pairs a crystal structure of In2CoBiS6 with its calculated powder diffraction line list. Radiation: copper Kα. Structure: a cell relaxed with GGA-PBE.
Peak positions follow from Bragg's law for the DFT cell and can differ from measured ones.

Cell and atoms:
Cell: 11.2921 3.8065 12.4384 Å, 90.00 116.52 90.00°
Sites, in units of the cell vectors:
In  0.0448  0.2500  0.1418
In  0.2636  0.2500  0.7159
In  0.7364  0.7500  0.2841
In  0.9552  0.7500  0.8582
Co  0.1549  0.7500  0.4042
Co  0.8451  0.2500  0.5958
Bi  0.4059  0.2500  0.1072
Bi  0.5941  0.7500  0.8928
S  0.0328  0.2500  0.7580
S  0.1443  0.7500  0.5711
S  0.1577  0.7500  0.0711
S  0.2282  0.2500  0.3870
S  0.3550  0.7500  0.8916
S  0.4984  0.2500  0.7241
S  0.5016  0.7500  0.2759
S  0.6450  0.2500  0.1084
S  0.7718  0.7500  0.6130
S  0.8424  0.2500  0.9289
S  0.8557  0.2500  0.4289
S  0.9672  0.7500  0.2420

The 10 most intense peaks (2θ from 5° to 70°), by intensity:
7.94 deg, d 11.130, rel. 100
23.96 deg, d 3.715, rel. 84
28.41 deg, d 3.142, rel. 72
33.73 deg, d 2.657, rel. 60
29.42 deg, d 3.036, rel. 52
35.73 deg, d 2.513, rel. 51
31.92 deg, d 2.804, rel. 33
15.70 deg, d 5.646, rel. 33
8.81 deg, d 10.037, rel. 32
39.17 deg, d 2.300, rel. 31

# 4
This entry pairs a crystal structure of Ta2InCo2Bi with its calculated powder diffraction line list. Radiation: copper Kα. Structure: a cell relaxed with GGA-PBE.
Peak positions follow from Bragg's law for the DFT cell and can differ from measured ones.

Cell and atoms:
Cell: 7.3598 7.3598 7.3598 Å, 131.86 131.86 70.45°
Sites, in units of the cell vectors:
Ta  0.2447  0.2447  0.0000
Ta  0.5053  0.0053  0.5000
Ta  0.7553  0.7553  0.0000
Ta  0.9947  0.4947  0.5000
In  0.0000  0.0000  0.0000
In  0.7500  0.2500  0.5000
Co  0.1272  0.6250  0.0022
Co  0.3750  0.3772  0.5022
Co  0.6228  0.1250  0.9978
Co  0.8750  0.8728  0.4978
Bi  0.2500  0.7500  0.5000
Bi  0.5000  0.5000  0.0000

The 10 most intense peaks (2θ from 5° to 70°), by intensity:
42.57 deg, d 2.124, rel. 100
29.75 deg, d 3.003, rel. 62
52.80 deg, d 1.734, rel. 17
61.82 deg, d 1.501, rel. 11
25.69 deg, d 3.468, rel. 7
61.71 deg, d 1.503, rel. 5
16.50 deg, d 5.371, rel. 3
50.39 deg, d 1.811, rel. 3
26.74 deg, d 3.333, rel. 3
40.44 deg, d 2.231, rel. 2

# 5
This entry pairs a crystal structure of LiLuCoBi with its calculated powder diffraction line list. Radiation: copper Kα. Structure: a cell relaxed with GGA-PBE.
Peak positions follow from Bragg's law for the DFT cell and can differ from measured ones.

Cell and atoms:
Cell: 4.6347 4.6347 4.6347 Å, 60.00 60.00 60.00°
Sites, in units of the cell vectors:
Li  0.0000  0.0000  0.0000
Lu  0.7500  0.7500  0.7500
Co  0.5000  0.5000  0.5000
Bi  0.2500  0.2500  0.2500

The 8 most intense peaks (2θ from 5° to 70°), by intensity:
38.86 deg, d 2.317, rel. 100
27.21 deg, d 3.277, rel. 61
63.47 deg, d 1.466, rel. 25
48.09 deg, d 1.892, rel. 18
56.13 deg, d 1.639, rel. 17
23.51 deg, d 3.784, rel. 5
45.92 deg, d 1.976, rel. 3
61.68 deg, d 1.504, rel. 1

# 6
This entry pairs a crystal structure of LiNb3Co4Bi4 with its calculated powder diffraction line list. Radiation: copper Kα. Structure: a cell relaxed with GGA-PBE.
Peak positions follow from Bragg's law for the DFT cell and can differ from measured ones.

Cell and atoms:
Cell: 7.4153 7.4153 7.4153 Å, 131.62 131.62 70.83°
Sites, in units of the cell vectors:
Li  0.0000  0.0000  0.0000
Nb  0.2500  0.7500  0.5000
Nb  0.5000  0.5000  0.0000
Nb  0.7500  0.2500  0.5000
Co  0.1368  0.6008  0.0000
Co  0.3992  0.3992  0.5360
Co  0.6008  0.1368  0.0000
Co  0.8632  0.8632  0.4640
Bi  0.0000  0.5000  0.5000
Bi  0.2346  0.2346  0.0000
Bi  0.5000  0.0000  0.5000
Bi  0.7654  0.7654  0.0000

The 10 most intense peaks (2θ from 5° to 70°), by intensity:
42.18 deg, d 2.143, rel. 100
25.43 deg, d 3.502, rel. 71
29.40 deg, d 3.038, rel. 57
42.06 deg, d 2.148, rel. 53
29.56 deg, d 3.022, rel. 26
49.79 deg, d 1.831, rel. 24
52.24 deg, d 1.751, rel. 23
69.17 deg, d 1.358, rel. 22
60.99 deg, d 1.519, rel. 17
50.00 deg, d 1.824, rel. 10

# 7
This entry pairs a crystal structure of LiTa3Co4Bi4 with its calculated powder diffraction line list. Radiation: copper Kα. Structure: a cell relaxed with GGA-PBE.
Peak positions follow from Bragg's law for the DFT cell and can differ from measured ones.

Cell and atoms:
Cell: 7.4163 7.4163 7.4163 Å, 131.60 131.60 70.86°
Sites, in units of the cell vectors:
Li  0.0000  0.0000  0.0000
Ta  0.2500  0.7500  0.5000
Ta  0.5000  0.5000  0.0000
Ta  0.7500  0.2500  0.5000
Co  0.1371  0.1371  0.5369
Co  0.3998  0.8629  0.0000
Co  0.6002  0.6002  0.4631
Co  0.8629  0.3998  0.0000
Bi  0.0000  0.5000  0.5000
Bi  0.2338  0.2338  0.0000
Bi  0.5000  0.0000  0.5000
Bi  0.7662  0.7662  0.0000

The 10 most intense peaks (2θ from 5° to 70°), by intensity:
42.17 deg, d 2.143, rel. 100
29.38 deg, d 3.040, rel. 67
42.03 deg, d 2.150, rel. 52
29.56 deg, d 3.021, rel. 31
52.22 deg, d 1.752, rel. 27
69.14 deg, d 1.359, rel. 26
25.43 deg, d 3.503, rel. 21
60.95 deg, d 1.520, rel. 17
26.54 deg, d 3.358, rel. 10
69.48 deg, d 1.353, rel. 10

# 8
This entry pairs a crystal structure of LuMgCoBi with its calculated powder diffraction line list. Radiation: copper Kα. Structure: a cell relaxed with GGA-PBE.
Peak positions follow from Bragg's law for the DFT cell and can differ from measured ones.

Cell and atoms:
Cell: 4.8528 4.8528 4.8528 Å, 60.00 60.00 60.00°
Sites, in units of the cell vectors:
Lu  0.0000  0.0000  0.0000
Mg  0.2500  0.2500  0.2500
Co  0.7500  0.7500  0.7500
Bi  0.5000  0.5000  0.5000

The 9 most intense peaks (2θ from 5° to 70°), by intensity:
37.05 deg, d 2.426, rel. 100
25.97 deg, d 3.431, rel. 48
66.78 deg, d 1.401, rel. 36
60.31 deg, d 1.535, rel. 20
53.40 deg, d 1.716, rel. 18
45.80 deg, d 1.981, rel. 15
22.44 deg, d 3.962, rel. 3
43.75 deg, d 2.069, rel. 1
58.63 deg, d 1.574, rel. 1